[1]
YCdBiO4: calculated powder diffraction line list (Cu Ka), based on a cell relaxed with GGA-PBE.
Lines closer than 0.1° are merged.

The 10 most intense peaks (5° ≤ 2θ ≤ 70°), by angle:
- 17.0°, d = 5.207 Å, I 23
- 21.5°, d = 4.138 Å, I 28
- 27.5°, d = 3.240 Å, I 65
- 28.4°, d = 3.140 Å, I 67
- 31.8°, d = 2.817 Å, I 100
- 33.1°, d = 2.704 Å, I 28
- 34.1°, d = 2.631 Å, I 49
- 41.7°, d = 2.164 Å, I 22
- 42.8°, d = 2.111 Å, I 21
- 55.1°, d = 1.668 Å, I 27

Atomic structure:
a b c (Å): 10.8622 10.8622 10.8622
angles (deg): 102.25 102.25 125.14
Sites, in units of the cell vectors:
Y (0.2201, 0.4701, 0.4403)
Y (0.2201, 0.7799, 0.7500)
Y (0.4701, 0.2201, 0.9403)
Y (0.4701, 0.5299, 0.2500)
Y (0.5299, 0.4701, 0.7500)
Y (0.5299, 0.7799, 0.0597)
Y (0.7799, 0.2201, 0.2500)
Y (0.7799, 0.5299, 0.5597)
Cd (0.0000, 0.1231, 0.1231)
Cd (0.0000, 0.8769, 0.8769)
Cd (0.1231, 0.0000, 0.6231)
Cd (0.1231, 0.5000, 0.1231)
Cd (0.5000, 0.1231, 0.6231)
Cd (0.5000, 0.8769, 0.3769)
Cd (0.8769, 0.0000, 0.3769)
Cd (0.8769, 0.5000, 0.8769)
Bi (0.0951, 0.7019, 0.3932)
Bi (0.1913, 0.2981, 0.8932)
Bi (0.2981, 0.1913, 0.3932)
Bi (0.2981, 0.9049, 0.1068)
Bi (0.7019, 0.0951, 0.8932)
Bi (0.7019, 0.8087, 0.6068)
Bi (0.8087, 0.7019, 0.1068)
Bi (0.9049, 0.2981, 0.6068)
O (0.0126, 0.7626, 0.0251)
O (0.0126, 0.9874, 0.2500)
O (0.0285, 0.4471, 0.2784)
O (0.0285, 0.7502, 0.5815)
O (0.2374, 0.7626, 0.2500)
O (0.2374, 0.9874, 0.4749)
O (0.2427, 0.6905, 0.5522)
O (0.2498, 0.3313, 0.2784)
O (0.2498, 0.9715, 0.9185)
O (0.3095, 0.3618, 0.5522)
O (0.3095, 0.7573, 0.9478)
O (0.3313, 0.2498, 0.7784)
O (0.3313, 0.5529, 0.0815)
O (0.3618, 0.3095, 0.0522)
O (0.4471, 0.0285, 0.7784)
O (0.4471, 0.6687, 0.4185)
O (0.5529, 0.3313, 0.5815)
O (0.5529, 0.9715, 0.2216)
O (0.6382, 0.6905, 0.9478)
O (0.6687, 0.4471, 0.9185)
O (0.6687, 0.7502, 0.2216)
O (0.6905, 0.2427, 0.0522)
O (0.6905, 0.6382, 0.4478)
O (0.7502, 0.0285, 0.0815)
O (0.7502, 0.6687, 0.7216)
O (0.7573, 0.3095, 0.4478)
O (0.7626, 0.0126, 0.5251)
O (0.7626, 0.2374, 0.7500)
O (0.9715, 0.2498, 0.4185)
O (0.9715, 0.5529, 0.7216)
O (0.9874, 0.0126, 0.7500)
O (0.9874, 0.2374, 0.9749)


[2]
Dy2Y2ErLu2Ni2Te2: calculated powder diffraction line list (Cu Ka), based on a cell relaxed with GGA-PBE.
Lines closer than 0.1° are merged.

The 10 most intense peaks (5° ≤ 2θ ≤ 70°), by angle:
- 28.9°, d = 3.084 Å, I 50
- 30.2°, d = 2.955 Å, I 28
- 30.5°, d = 2.935 Å, I 54
- 33.1°, d = 2.707 Å, I 93
- 34.2°, d = 2.625 Å, I 100
- 34.6°, d = 2.589 Å, I 80
- 36.7°, d = 2.447 Å, I 38
- 38.6°, d = 2.334 Å, I 30
- 47.4°, d = 1.919 Å, I 33
- 59.0°, d = 1.566 Å, I 36

Atomic structure:
a b c (Å): 9.3141 9.3141 9.3141
angles (deg): 156.22 66.92 118.49
Sites, in units of the cell vectors:
Dy (0.1471, 0.0000, 0.1471)
Dy (0.8529, 0.0000, 0.8529)
Y (0.5169, 0.1485, 0.3684)
Y (0.7801, 0.1485, 0.6316)
Er (0.2310, 0.7310, 0.5000)
Lu (0.1653, 0.3499, 0.8153)
Lu (0.5346, 0.3499, 0.1847)
Ni (0.3973, 0.6597, 0.7376)
Ni (0.9221, 0.6597, 0.2624)
Te (0.4938, 0.4938, 0.0000)
Te (0.8955, 0.3955, 0.5000)


[3]
FeCl2: calculated powder diffraction line list (Cu Ka), based on a cell relaxed with GGA-PBE.
Lines closer than 0.1° are merged.

The 10 most intense peaks (5° ≤ 2θ ≤ 70°), by angle:
- 14.0°, d = 6.336 Å, I 100
- 31.1°, d = 2.880 Å, I 19
- 33.4°, d = 2.680 Å, I 47
- 37.1°, d = 2.422 Å, I 54
- 41.8°, d = 2.162 Å, I 15
- 47.2°, d = 1.924 Å, I 29
- 53.3°, d = 1.719 Å, I 10
- 53.7°, d = 1.707 Å, I 19
- 55.8°, d = 1.648 Å, I 9
- 67.1°, d = 1.396 Å, I 7

Atomic structure:
a b c (Å): 3.4140 5.9148 12.6725
angles (deg): 90.00 90.00 90.00
Sites, in units of the cell vectors:
Fe (0.0000, 0.0167, 0.0000)
Fe (0.0000, 0.4100, 0.4983)
Fe (0.5000, 0.5900, 0.9983)
Fe (0.5000, 0.9833, 0.5000)
Cl (0.0000, 0.1039, 0.6231)
Cl (0.0000, 0.3984, 0.1042)
Cl (0.0000, 0.7105, 0.8751)
Cl (0.0000, 0.7912, 0.3942)
Cl (0.5000, 0.2088, 0.8942)
Cl (0.5000, 0.2895, 0.3751)
Cl (0.5000, 0.6016, 0.6042)
Cl (0.5000, 0.8961, 0.1231)


[4]
Ba2SmSe3: calculated powder diffraction line list (Cu Ka), based on a cell relaxed with GGA-PBE.
Lines closer than 0.1° are merged.

The 10 most intense peaks (5° ≤ 2θ ≤ 70°), by angle:
- 24.4°, d = 3.651 Å, I 10
- 28.0°, d = 3.184 Å, I 100
- 39.6°, d = 2.275 Å, I 36
- 40.5°, d = 2.228 Å, I 38
- 46.7°, d = 1.946 Å, I 4
- 48.5°, d = 1.878 Å, I 6
- 50.0°, d = 1.825 Å, I 20
- 57.9°, d = 1.592 Å, I 12
- 65.0°, d = 1.436 Å, I 14
- 66.2°, d = 1.412 Å, I 17

Atomic structure:
a b c (Å): 4.4560 4.4560 11.2659
angles (deg): 90.00 90.00 120.00
Sites, in units of the cell vectors:
Ba (0.3333, 0.6667, 0.1764)
Ba (0.6667, 0.3333, 0.8236)
Sm (0.0000, 0.0000, 0.5000)
Se (0.0000, 0.0000, 0.0000)
Se (0.3333, 0.6667, 0.6403)
Se (0.6667, 0.3333, 0.3597)


[5]
SmDyTlNi2: calculated powder diffraction line list (Cu Ka), based on a cell relaxed with GGA-PBE.
Lines closer than 0.1° are merged.

The 10 most intense peaks (5° ≤ 2θ ≤ 70°), by angle:
- 29.3°, d = 3.051 Å, I 50
- 33.8°, d = 2.651 Å, I 100
- 34.6°, d = 2.593 Å, I 70
- 38.5°, d = 2.336 Å, I 35
- 46.2°, d = 1.965 Å, I 22
- 49.2°, d = 1.852 Å, I 19
- 55.9°, d = 1.644 Å, I 20
- 58.3°, d = 1.583 Å, I 15
- 59.0°, d = 1.566 Å, I 30
- 64.2°, d = 1.451 Å, I 16

Atomic structure:
a b c (Å): 3.7045 7.5218 7.5218
angles (deg): 30.29 90.00 90.00
Sites, in units of the cell vectors:
Sm (0.0000, 0.0000, 0.0000)
Dy (0.0000, 0.7228, 0.7228)
Tl (0.5000, 0.3595, 0.3595)
Ni (0.5000, 0.1629, 0.1629)
Ni (0.5000, 0.5660, 0.5660)


[6]
CoSn3: calculated powder diffraction line list (Cu Ka), based on a cell relaxed with GGA-PBE.
Lines closer than 0.1° are merged.

The 10 most intense peaks (5° ≤ 2θ ≤ 70°), by angle:
- 31.5°, d = 2.839 Å, I 47
- 33.6°, d = 2.669 Å, I 51
- 35.6°, d = 2.525 Å, I 100
- 38.4°, d = 2.346 Å, I 39
- 40.5°, d = 2.226 Å, I 20
- 42.9°, d = 2.108 Å, I 69
- 45.8°, d = 1.981 Å, I 20
- 46.0°, d = 1.973 Å, I 22
- 58.8°, d = 1.571 Å, I 24
- 62.9°, d = 1.477 Å, I 39

Atomic structure:
a b c (Å): 9.0770 9.0770 6.3098
angles (deg): 90.00 90.00 40.47
Sites, in units of the cell vectors:
Co (0.0800, 0.0800, 0.0000)
Co (0.4200, 0.4200, 0.5000)
Co (0.5800, 0.5800, 0.5000)
Co (0.9200, 0.9200, 0.0000)
Sn (0.0175, 0.6520, 0.3179)
Sn (0.1520, 0.5175, 0.8179)
Sn (0.1632, 0.8368, 0.6634)
Sn (0.3368, 0.6632, 0.1634)
Sn (0.3480, 0.9825, 0.3179)
Sn (0.4825, 0.8480, 0.8179)
Sn (0.5175, 0.1520, 0.1821)
Sn (0.6520, 0.0175, 0.6821)
Sn (0.6632, 0.3368, 0.8366)
Sn (0.8368, 0.1632, 0.3366)
Sn (0.8480, 0.4825, 0.1821)
Sn (0.9825, 0.3480, 0.6821)


[7]
TmAlPtAu: calculated powder diffraction line list (Cu Ka), based on a cell relaxed with GGA-PBE.
Lines closer than 0.1° are merged.

The 10 most intense peaks (5° ≤ 2θ ≤ 70°), by angle:
- 19.6°, d = 4.530 Å, I 1
- 23.2°, d = 3.832 Å, I 47
- 25.2°, d = 3.529 Å, I 1
- 37.9°, d = 2.372 Å, I 100
- 40.8°, d = 2.212 Å, I 60
- 47.5°, d = 1.916 Å, I 7
- 56.9°, d = 1.618 Å, I 31
- 61.4°, d = 1.510 Å, I 5
- 64.3°, d = 1.448 Å, I 6
- 66.6°, d = 1.405 Å, I 7

Atomic structure:
a b c (Å): 4.4246 4.4246 9.0608
angles (deg): 90.00 90.00 120.00
Sites, in units of the cell vectors:
Tm (0.0000, 0.0000, 0.0000)
Tm (0.3333, 0.6667, 0.5000)
Al (0.6667, 0.3333, 0.2244)
Al (0.6667, 0.3333, 0.7756)
Pt (0.3333, 0.6667, 0.1697)
Pt (0.3333, 0.6667, 0.8303)
Au (0.0000, 0.0000, 0.3371)
Au (0.0000, 0.0000, 0.6629)


[8]
Lu4BiAsN2: calculated powder diffraction line list (Cu Ka), based on a cell relaxed with GGA-PBE.
Lines closer than 0.1° are merged.

The 10 most intense peaks (5° ≤ 2θ ≤ 70°), by angle:
- 29.0°, d = 3.082 Å, I 29
- 31.8°, d = 2.811 Å, I 13
- 32.6°, d = 2.747 Å, I 8
- 35.1°, d = 2.556 Å, I 100
- 39.4°, d = 2.289 Å, I 13
- 49.6°, d = 1.837 Å, I 10
- 51.4°, d = 1.779 Å, I 27
- 61.9°, d = 1.500 Å, I 12
- 63.7°, d = 1.460 Å, I 18
- 66.6°, d = 1.405 Å, I 14

Atomic structure:
a b c (Å): 3.5583 3.5583 13.7325
angles (deg): 90.00 90.00 120.00
Sites, in units of the cell vectors:
Lu (0.0000, 0.0000, 0.1382)
Lu (0.0000, 0.0000, 0.8618)
Lu (0.3333, 0.6667, 0.3224)
Lu (0.3333, 0.6667, 0.6776)
Bi (0.0000, 0.0000, 0.5000)
As (0.3333, 0.6667, 0.0000)
N (0.6667, 0.3333, 0.2369)
N (0.6667, 0.3333, 0.7631)


[9]
ScCo4Sn2Ge4: calculated powder diffraction line list (Cu Ka), based on a cell relaxed with GGA-PBE.
Lines closer than 0.1° are merged.

The 10 most intense peaks (5° ≤ 2θ ≤ 70°), by angle:
- 17.2°, d = 5.162 Å, I 35
- 28.7°, d = 3.112 Å, I 60
- 32.4°, d = 2.761 Å, I 45
- 34.8°, d = 2.581 Å, I 100
- 39.0°, d = 2.311 Å, I 46
- 42.9°, d = 2.108 Å, I 47
- 43.8°, d = 2.067 Å, I 73
- 44.8°, d = 2.024 Å, I 89
- 47.5°, d = 1.915 Å, I 45
- 67.9°, d = 1.380 Å, I 33

Atomic structure:
a b c (Å): 6.2504 6.2504 6.2504
angles (deg): 116.96 116.96 95.35
Sites, in units of the cell vectors:
Sc (0.0000, 0.0000, 0.0000)
Co (0.2420, 0.2420, 0.6588)
Co (0.4168, 0.7580, 0.0000)
Co (0.5832, 0.5832, 0.3412)
Co (0.7580, 0.4168, 0.0000)
Sn (0.0000, 0.5000, 0.5000)
Sn (0.5000, 0.0000, 0.5000)
Ge (0.1265, 0.4634, 0.0000)
Ge (0.4634, 0.1265, 0.0000)
Ge (0.5366, 0.5366, 0.6631)
Ge (0.8735, 0.8735, 0.3369)


[10]
CsEr2CuSeS3: calculated powder diffraction line list (Cu Ka), based on a cell relaxed with GGA-PBE.
Lines closer than 0.1° are merged.

The 10 most intense peaks (5° ≤ 2θ ≤ 70°), by angle:
- 23.0°, d = 3.863 Å, I 78
- 25.1°, d = 3.548 Å, I 30
- 26.3°, d = 3.386 Å, I 31
- 29.1°, d = 3.071 Å, I 25
- 29.8°, d = 2.998 Å, I 50
- 31.9°, d = 2.806 Å, I 100
- 34.8°, d = 2.578 Å, I 36
- 40.0°, d = 2.252 Å, I 25
- 43.7°, d = 2.074 Å, I 42
- 44.9°, d = 2.019 Å, I 30

Atomic structure:
a b c (Å): 7.3780 7.3780 13.8172
angles (deg): 90.00 90.00 148.24
Sites, in units of the cell vectors:
Cs (0.1050, 0.8950, 0.7500)
Cs (0.8950, 0.1050, 0.2500)
Er (0.3610, 0.6390, 0.5637)
Er (0.3610, 0.6390, 0.9363)
Er (0.6390, 0.3610, 0.0637)
Er (0.6390, 0.3610, 0.4363)
Cu (0.1670, 0.8330, 0.2500)
Cu (0.8330, 0.1670, 0.7500)
Se (0.0000, 0.0000, 0.0000)
Se (0.0000, 0.0000, 0.5000)
S (0.2561, 0.7439, 0.1054)
S (0.2561, 0.7439, 0.3946)
S (0.4163, 0.5837, 0.7500)
S (0.5837, 0.4163, 0.2500)
S (0.7439, 0.2561, 0.6054)
S (0.7439, 0.2561, 0.8946)


[11]
Nb3Cl8: calculated powder diffraction line list (Cu Ka), based on a cell relaxed with GGA-PBE.
Lines closer than 0.1° are merged.

The 10 most intense peaks (5° ≤ 2θ ≤ 70°), by angle:
- 14.2°, d = 6.222 Å, I 100
- 15.3°, d = 5.800 Å, I 42
- 19.2°, d = 4.615 Å, I 19
- 32.0°, d = 2.800 Å, I 17
- 34.9°, d = 2.572 Å, I 76
- 39.0°, d = 2.308 Å, I 15
- 40.6°, d = 2.220 Å, I 15
- 44.1°, d = 2.054 Å, I 22
- 52.0°, d = 1.758 Å, I 19
- 54.1°, d = 1.695 Å, I 21

Atomic structure:
a b c (Å): 13.0443 13.0443 13.0443
angles (deg): 30.12 30.12 30.12
Sites, in units of the cell vectors:
Nb (0.0565, 0.4718, 0.4718)
Nb (0.3640, 0.3640, 0.7793)
Nb (0.3640, 0.7793, 0.3640)
Nb (0.4718, 0.0565, 0.4718)
Nb (0.4718, 0.4718, 0.0565)
Nb (0.7793, 0.3640, 0.3640)
Cl (0.0373, 0.0373, 0.5418)
Cl (0.0373, 0.5418, 0.0373)
Cl (0.1292, 0.6228, 0.6228)
Cl (0.1325, 0.1325, 0.1325)
Cl (0.2133, 0.2133, 0.7060)
Cl (0.2133, 0.7060, 0.2133)
Cl (0.2842, 0.2842, 0.2842)
Cl (0.2935, 0.7987, 0.7987)
Cl (0.5418, 0.0373, 0.0373)
Cl (0.5516, 0.5516, 0.5516)
Cl (0.6228, 0.1292, 0.6228)
Cl (0.6228, 0.6228, 0.1292)
Cl (0.7028, 0.7028, 0.7028)
Cl (0.7060, 0.2133, 0.2133)
Cl (0.7987, 0.2935, 0.7987)
Cl (0.7987, 0.7987, 0.2935)


[12]
AgSbTe3Pt: calculated powder diffraction line list (Cu Ka), based on a cell relaxed with GGA-PBE.
Lines closer than 0.1° are merged.

The 10 most intense peaks (5° ≤ 2θ ≤ 70°), by angle:
- 12.1°, d = 7.303 Å, I 47
- 24.6°, d = 3.626 Å, I 65
- 26.0°, d = 3.424 Å, I 100
- 26.6°, d = 3.353 Å, I 38
- 26.7°, d = 3.333 Å, I 85
- 29.5°, d = 3.031 Å, I 94
- 32.0°, d = 2.801 Å, I 55
- 40.9°, d = 2.205 Å, I 56
- 43.3°, d = 2.089 Å, I 92
- 48.3°, d = 1.886 Å, I 66

Atomic structure:
a b c (Å): 5.4326 8.8188 14.6068
angles (deg): 90.00 90.00 90.00
Sites, in units of the cell vectors:
Ag (0.0613, 0.0971, 0.4579)
Ag (0.4387, 0.9029, 0.9579)
Ag (0.5613, 0.4029, 0.5421)
Ag (0.9387, 0.5971, 0.0421)
Sb (0.1026, 0.1408, 0.1594)
Sb (0.3974, 0.8592, 0.6594)
Sb (0.6026, 0.3592, 0.8406)
Sb (0.8974, 0.6408, 0.3406)
Te (0.2155, 0.1708, 0.9156)
Te (0.2252, 0.3914, 0.6961)
Te (0.2338, 0.3756, 0.3986)
Te (0.2662, 0.6244, 0.8986)
Te (0.2748, 0.6086, 0.1961)
Te (0.2845, 0.8292, 0.4156)
Te (0.7155, 0.3292, 0.0844)
Te (0.7252, 0.1086, 0.3039)
Te (0.7338, 0.1244, 0.6014)
Te (0.7662, 0.8756, 0.1014)
Te (0.7748, 0.8914, 0.8039)
Te (0.7845, 0.6708, 0.5844)
Pt (0.0453, 0.6603, 0.7400)
Pt (0.4547, 0.3397, 0.2400)
Pt (0.5453, 0.8397, 0.2600)
Pt (0.9547, 0.1603, 0.7600)